Diffraction record for CsNdSnCl6. The XRD peak list is simulated, not measured: it uses a structure optimized by DFT (PBE) and a wavelength of 1.5418 Å.

Largest 10 diffraction maxima, in order of falling intensity, 10 to 80 degrees two-theta:
(1 0 1), 2θ 18.1, I 1000
(2 -1 2), 2θ 33.9, I 683
(3 -1 1), 2θ 38.9, I 291
(1 1 0), 2θ 23.9, I 291
(3 0 0), 2θ 42.1, I 238
(2 0 1), 2θ 30.2, I 229
(0 0 1), 2θ 11.8, I 222
(2 -1 1), 2θ 26.7, I 218
(2 2 2), 2θ 55.1, I 145
(3 1 1), 2θ 52.6, I 142

```
data_CsNdSnCl6
_chemical_formula_sum 'Cs1 Nd1 Sn1 Cl6'
_cell_length_a 7.4388
_cell_length_b 7.4388
_cell_length_c 7.5291
_cell_angle_alpha 90.00
_cell_angle_beta 90.00
_cell_angle_gamma 120.00
_symmetry_space_group_name_H-M 'P 3 1 2'
_symmetry_Int_Tables_number 149
loop_
_symmetry_equiv_pos_as_xyz
'x,y,z'
'-y,x-y,z'
'-x+y,-x,z'
'-y,-x,-z'
'-x+y,y,-z'
'x,x-y,-z'
loop_
_atom_site_label
_atom_site_type_symbol
_atom_site_fract_x
_atom_site_fract_y
_atom_site_fract_z
Cs1 Cs 0.0000 0.0000 0.0000
Nd1 Nd 0.6667 0.3333 0.5000
Sn1 Sn 0.3333 0.6667 0.5000
Cl1 Cl 0.3838 0.0107 0.7092
```

Diffraction record for CsSrNdCl6. The XRD peak list is simulated, not measured: it uses a structure optimized by DFT (PBE) and a wavelength of 1.5418 Å.

Largest 10 diffraction maxima, in order of falling intensity, 10 to 80 degrees two-theta:
(1 0 2), 2θ 18.1, I 1000
(1 1 4), 2θ 33.9, I 674
(2 1 2), 2θ 38.4, I 300
(1 1 0), 2θ 23.6, I 273
(3 0 0), 2θ 41.4, I 248
(2 0 2), 2θ 29.9, I 234
(1 1 2), 2θ 26.5, I 219
(0 0 2), 2θ 12.0, I 165
(4 -1 2), 2θ 51.9, I 148
(4 -2 4), 2θ 54.6, I 144

```
data_CsSrNdCl6
_chemical_formula_sum 'Cs2 Sr2 Nd2 Cl12'
_cell_length_a 7.5528
_cell_length_b 7.5528
_cell_length_c 14.7933
_cell_angle_alpha 90.00
_cell_angle_beta 90.00
_cell_angle_gamma 120.00
_symmetry_space_group_name_H-M 'P -3 1 c'
_symmetry_Int_Tables_number 163
_symmetry_space_group_name_Hall '-P 3 2c'
loop_
_atom_site_label
_atom_site_type_symbol
_atom_site_fract_x
_atom_site_fract_y
_atom_site_fract_z
Cs1 Cs 0.0000 0.0000 0.0000
Sr1 Sr 0.3333 0.6667 0.2500
Nd1 Nd 0.3333 0.6667 0.7500
Cl1 Cl 0.0153 0.3862 0.6441
```

Diffraction record for CsNi4Cl8. The XRD peak list is simulated, not measured: it uses a structure optimized by DFT (PBE) and a wavelength of 1.5418 Å.

Largest 10 diffraction maxima, in order of falling intensity, 10 to 80 degrees two-theta:
(0 0 3), 2θ 10.6, I 1000
(0 2 4), 2θ 32.6, I 802
(2 2 0), 2θ 51.7, I 251
(1 0 1), 2θ 14.9, I 247
(0 2 7), 2θ 38.8, I 226
(2 0 8), 2θ 41.3, I 220
(0 1 2), 2θ 16.1, I 214
(0 2 10), 2θ 47.0, I 183
(0 0 6), 2θ 21.4, I 158
(2 0 14), 2θ 60.1, I 142

```
data_CsNi4Cl8
_chemical_formula_sum 'Cs3 Ni12 Cl24'
_cell_length_a 7.0779
_cell_length_b 7.0779
_cell_length_c 24.9394
_cell_angle_alpha 90.00
_cell_angle_beta 90.00
_cell_angle_gamma 120.00
_symmetry_space_group_name_H-M 'R -3 m'
_symmetry_Int_Tables_number 166
_symmetry_space_group_name_Hall '-R 3 2"'
loop_
_atom_site_label
_atom_site_type_symbol
_atom_site_fract_x
_atom_site_fract_y
_atom_site_fract_z
Cs1 Cs 0.0000 0.0000 0.0000
Ni1 Ni 0.0000 0.0000 0.5000
Ni2 Ni 0.0000 0.5000 0.5000
Cl1 Cl 0.0000 0.0000 0.2186
Cl2 Cl 0.0019 0.5010 0.2195
```